The following is a simulated PXRD pattern of RbHo2CuTe4. It was derived from the GGA-PBE geometry in OQMD, using Cu Ka.
Kinematic intensities with the Lorentz-polarization factor, no thermal factor.

```
data_RbHo2CuTe4
_space_group_name_H-M_alt 'C m c m'
_space_group_IT_number 63
_space_group_name_Hall '-C 2c 2'
_cell_length_a 4.3854
_cell_length_b 15.2001
_cell_length_c 15.4414
_cell_angle_alpha 90.00
_cell_angle_beta 90.00
_cell_angle_gamma 90.00
loop_
_atom_site_label
_atom_site_fract_x
_atom_site_fract_y
_atom_site_fract_z
Rb1 0.0000 0.1118 0.2500
Ho1 0.0000 0.3658 0.0653
Cu1 0.0000 0.1622 0.7500
Te1 0.0000 0.0000 0.0000
Te2 0.0000 0.2649 0.6104
Te3 0.0000 0.4328 0.2500
```

Largest 10 diffraction maxima, by intensity, 2θ = 10–90°:
| Position (°2θ) | Rel. int. |
| --- | --- |
| 29.31 | 100 |
| 27.51 | 92 |
| 40.12 | 70 |
| 41.15 | 61 |
| 25.89 | 55 |
| 12.98 | 43 |
| 36.06 | 31 |
| 39.65 | 29 |
| 26.89 | 27 |
| 31.26 | 26 |